(1)
# Sm6U3O17
Simulated powder XRD pattern, copper Kα. Input: DFT lattice parameters and positions (PBE).
Neutral-atom scattering factors, no anomalous dispersion.

Structure:
```
Sm6U3O17
1.0
6.126 -2.726 0.000
6.126 2.726 0.000
-3.692 0.000 10.948
Sm U O
6 3 17
Direct
0.003 0.003 0.177 Sm
0.343 0.321 0.613 Sm
0.366 0.275 0.941 Sm
0.679 0.657 0.387 Sm
0.725 0.634 0.059 Sm
0.997 0.997 0.823 Sm
0.028 0.972 0.500 U
0.356 0.310 0.278 U
0.690 0.644 0.722 U
0.103 0.579 0.447 O
0.110 0.570 0.786 O
0.124 0.570 0.109 O
0.259 0.725 0.341 O
0.275 0.741 0.659 O
0.421 0.897 0.553 O
0.430 0.876 0.891 O
0.430 0.890 0.214 O
0.588 0.079 0.129 O
0.598 0.074 0.434 O
0.603 0.022 0.768 O
0.766 0.232 0.342 O
0.768 0.234 0.658 O
0.773 0.227 0.000 O
0.921 0.412 0.871 O
0.926 0.402 0.566 O
0.978 0.397 0.232 O
```

Largest 10 diffraction maxima, by intensity, 2θ = 10–90°:
| two_theta | intensity |
| --- | --- |
| 28.3 | 1000 |
| 47.0 | 251 |
| 47.2 | 246 |
| 32.9 | 225 |
| 55.9 | 217 |
| 32.7 | 119 |
| 55.8 | 76 |
| 56.1 | 75 |
| 87.6 | 75 |
| 55.7 | 74 |

(2)
# Sm4U4O17
Simulated powder XRD pattern, copper Kα. Input: DFT lattice parameters and positions (PBE).
Neutral-atom scattering factors, no anomalous dispersion.

Structure:
```
Sm4U4O17
1.0
5.485 -7.585 0.000
5.485 7.585 0.000
0.000 0.000 3.835
Sm U O
4 4 17
Direct
0.000 0.500 0.500 Sm
0.126 0.874 0.000 Sm
0.500 0.000 0.500 Sm
0.874 0.126 0.000 Sm
0.250 0.250 0.500 U
0.380 0.620 0.000 U
0.620 0.380 0.000 U
0.750 0.750 0.500 U
0.016 0.249 0.500 O
0.135 0.135 0.000 O
0.148 0.619 0.000 O
0.248 0.491 0.500 O
0.249 0.016 0.500 O
0.359 0.359 0.000 O
0.381 0.852 0.000 O
0.491 0.248 0.500 O
0.500 0.500 0.500 O
0.509 0.752 0.500 O
0.619 0.148 0.000 O
0.641 0.641 0.000 O
0.751 0.984 0.500 O
0.752 0.509 0.500 O
0.852 0.381 0.000 O
0.865 0.865 0.000 O
0.984 0.751 0.500 O
```

Largest 10 diffraction maxima, by intensity, 2θ = 10–90°:
| two_theta | intensity |
| --- | --- |
| 28.4 | 1000 |
| 28.6 | 957 |
| 47.3 | 687 |
| 33.2 | 469 |
| 56.3 | 299 |
| 56.7 | 292 |
| 32.7 | 247 |
| 76.5 | 187 |
| 47.4 | 173 |
| 48.0 | 160 |

Q: What is the formula in the first record?
A: Sm6U3O17